# SmGa4Ag12
Computed X-ray diffraction stick pattern, Cu Kα (λ = 1.5418 Å). Input: a DFT-relaxed cell (GGA-PBE, Alexandria).
No peak broadening, texture or thermal motion is included.

Largest 8 diffraction maxima, sorted by position, 15 to 90 degrees two-theta:
Position (°2θ)  d [Å]  I_rel
31.3  2.855  100
37.3  2.413  43
44.9  2.019  15
49.5  1.843  23
51.6  1.770  33
61.6  1.505  9
70.8  1.331  15
81.1  1.185  9

Cell and atoms:
Unit cell a=7.818 b=7.818 c=7.818 alpha=109.47 beta=109.47 gamma=109.47
Positions (direct):
Sm  0.000  0.000  0.000
Ga  0.000  0.000  0.500
Ga  0.000  0.500  0.000
Ga  0.500  0.000  0.000
Ga  0.500  0.500  0.500
Ag  0.154  0.500  0.346
Ag  0.154  0.809  0.654
Ag  0.191  0.346  0.846
Ag  0.346  0.154  0.500
Ag  0.346  0.846  0.191
Ag  0.500  0.346  0.154
Ag  0.500  0.654  0.846
Ag  0.654  0.154  0.809
Ag  0.654  0.846  0.500
Ag  0.809  0.654  0.154
Ag  0.846  0.191  0.346
Ag  0.846  0.500  0.654

=====

# Er2AgTeS3
Computed X-ray diffraction stick pattern, Cu Kα (λ = 1.5418 Å). Input: a DFT-relaxed cell (GGA-PBE, Alexandria).
No peak broadening, texture or thermal motion is included.

Largest 8 diffraction maxima, sorted by position, 15 to 90 degrees two-theta:
Position (°2θ)  d [Å]  I_rel
22.0  4.040  30
25.9  3.441  100
31.4  2.852  62
34.4  2.610  21
41.1  2.197  30
44.9  2.020  46
45.0  2.013  27
47.2  1.927  21

Cell and atoms:
Unit cell a=8.053 b=8.053 c=8.053 alpha=60.22 beta=60.22 gamma=60.22
Positions (direct):
Er  0.000  0.000  0.000
Er  0.000  0.000  0.500
Er  0.000  0.500  0.000
Er  0.500  0.000  0.000
Ag  0.407  0.407  0.407
Ag  0.593  0.593  0.593
Te  0.265  0.265  0.265
Te  0.735  0.735  0.735
S  0.212  0.760  0.760
S  0.240  0.240  0.788
S  0.240  0.788  0.240
S  0.760  0.212  0.760
S  0.760  0.760  0.212
S  0.788  0.240  0.240

=====

# CsAlH8N4
Computed X-ray diffraction stick pattern, Cu Kα (λ = 1.5418 Å). Input: a DFT-relaxed cell (GGA-PBE, Alexandria).
No peak broadening, texture or thermal motion is included.

Largest 8 diffraction maxima, sorted by position, 15 to 90 degrees two-theta:
Position (°2θ)  d [Å]  I_rel
16.5  5.382  23
19.8  4.474  81
23.4  3.806  49
30.8  2.899  100
36.5  2.460  24
37.4  2.407  20
46.0  1.972  18
50.3  1.816  31

Cell and atoms:
Unit cell a=7.611 b=7.611 c=5.531 alpha=90.00 beta=90.00 gamma=90.00
Positions (direct):
Cs  0.250  0.250  0.248
Cs  0.750  0.750  0.752
Al  0.250  0.750  0.000
Al  0.750  0.250  0.000
H  0.026  0.409  0.811
H  0.074  0.723  0.384
H  0.091  0.026  0.811
H  0.223  0.926  0.616
H  0.277  0.574  0.616
H  0.409  0.474  0.811
H  0.426  0.777  0.384
H  0.474  0.091  0.811
H  0.526  0.909  0.189
H  0.574  0.223  0.616
H  0.591  0.526  0.189
H  0.723  0.426  0.384
H  0.777  0.074  0.384
H  0.909  0.974  0.189
H  0.926  0.277  0.616
H  0.974  0.591  0.189
N  0.084  0.665  0.218
N  0.165  0.916  0.782
N  0.335  0.584  0.782
N  0.416  0.835  0.218
N  0.584  0.165  0.782
N  0.665  0.416  0.218
N  0.835  0.084  0.218
N  0.916  0.335  0.782